NiH12S2O14: calculated powder diffractogram (CuKα), based on a crystal structure in Alexandria, relaxed with PBE+U.
Peak positions follow from Bragg's law for the DFT cell and can differ from measured ones.

Structure:
```
data_NiH12S2O14
_chemical_formula_sum 'Ni2 H24 S4 O28'
_cell_length_a 6.320
_cell_length_b 12.564
_cell_length_c 9.173
_cell_angle_alpha 90.00
_cell_angle_beta 105.68
_cell_angle_gamma 90.00
_symmetry_space_group_name_H-M 'P 1 21/c 1'
_symmetry_Int_Tables_number 14
loop_
_symmetry_equiv_pos_as_xyz
'x,y,z'
'-x,-y,-z'
'-x,y+1/2,-z+1/2'
'x,-y+1/2,z+1/2'
loop_
_atom_site_label
_atom_site_fract_x
_atom_site_fract_y
_atom_site_fract_z
_atom_site_occupancy
Ni1 0.000 0.000 0.000 1
H1 0.031 0.189 0.874 1
H2 0.042 0.606 0.759 1
H3 0.089 0.119 0.251 1
H4 0.315 0.083 0.219 1
H5 0.325 0.637 0.524 1
H6 0.332 0.553 0.397 1
S1 0.262 0.635 0.094 1
O1 0.044 0.114 0.847 1
O2 0.054 0.671 0.122 1
O3 0.159 0.101 0.170 1
O4 0.222 0.579 0.945 1
O5 0.296 0.561 0.495 1
O6 0.391 0.568 0.218 1
O7 0.399 0.728 0.070 1
```

Principal peaks in the range 10° ≤ 2θ ≤ 90°, low angle first:
hkl 1 0 0, d = 6.085 Å, 14.56°, I 54; hkl 1 1 0, d = 5.476 Å, 16.18°, I 100; hkl 0 2 1, d = 5.119 Å, 17.32°, I 61; hkl 1 2 -1, d = 4.260 Å, 20.85°, I 74; hkl 0 1 2, d = 4.166 Å, 21.33°, I 60; hkl 0 3 1, d = 3.784 Å, 23.51°, I 78